Entry 1:
Calculated X-ray powder pattern
Compound: Nd2Tm4Tl
Radiation: Cu Kα, 1.54184 Å
Structure: a cell relaxed with GGA-PBE
Intensities are scaled so that the largest is 100.

Structure:
Unit cell a=6.516 b=6.253 c=10.576 alpha=90.00 beta=90.00 gamma=90.00
Space group Pmna (No. 53)
One atom of each set of equivalent atoms:
Nd (0.000, 0.241, 0.043) (multiplicity 4)
Tm (0.000, 0.069, 0.345) (multiplicity 4)
Tm (0.250, 0.401, 0.750) (multiplicity 4)
Tl (0.000, 0.500, 0.500) (multiplicity 2)

Main lines, in order of falling intensity (10 to 80 degrees two-theta):
d (Å), 2θ/deg, I_rel, h k l
2.776, 32.2, 100, 2 0 2
2.724, 32.9, 72, 1 2 1
2.535, 35.4, 54, 2 1 2
2.998, 29.8, 37, 0 2 1
2.435, 36.9, 34, 0 1 4
2.787, 32.1, 32, 2 1 1

***

Entry 2:
Calculated X-ray powder pattern
Compound: Nd2Tm3Tl2
Radiation: Cu Kα, 1.54184 Å
Structure: a cell relaxed with GGA-PBE
Intensities are scaled so that the largest is 100.

Structure:
Unit cell a=11.792 b=4.664 c=8.418 alpha=90.00 beta=110.34 gamma=90.00
Space group C2/m (No. 12)
One atom of each set of equivalent atoms:
Nd (0.127, 0.000, 0.280) (multiplicity 4)
Tm (0.000, 0.500, 0.500) (multiplicity 2)
Tm (0.129, 0.500, 0.941) (multiplicity 4)
Tl (0.171, 0.000, 0.702) (multiplicity 4)

Main lines, in order of falling intensity (10 to 80 degrees two-theta):
d (Å), 2θ/deg, I_rel, h k l
2.991, 29.9, 100, 3 1 -1
2.729, 32.8, 98, 1 1 2
2.332, 38.6, 48, 0 2 0
2.782, 32.2, 39, 2 0 -3
2.712, 33.0, 37, 3 1 -2
2.892, 30.9, 33, 3 1 0